Structure and computed powder diffractogram of Cr2C3N6 (a GGA-PBE-relaxed structure; Cu Ka).
Lines closer than 0.1° are merged.

Atomic structure:
a = 9.9178 Å, b = 9.9178 Å, c = 9.9178 Å
α = 32.37°, β = 32.37°, γ = 32.37°
Atoms (fractional coordinates):
Cr1 0.1650 0.1650 0.1650
Cr2 0.3350 0.3350 0.3350
Cr3 0.6650 0.6650 0.6650
Cr4 0.8350 0.8350 0.8350
C1 0.0674 0.7500 0.4326
C2 0.2500 0.5674 0.9326
C3 0.4326 0.0674 0.7500
C4 0.5674 0.9326 0.2500
C5 0.7500 0.4326 0.0674
C6 0.9326 0.2500 0.5674
N1 0.0432 0.6579 0.4202
N2 0.0798 0.8421 0.4568
N3 0.1579 0.5432 0.9202
N4 0.3421 0.5798 0.9568
N5 0.4202 0.0432 0.6579
N6 0.4568 0.0798 0.8421
N7 0.5432 0.9202 0.1579
N8 0.5798 0.9568 0.3421
N9 0.6579 0.4202 0.0432
N10 0.8421 0.4568 0.0798
N11 0.9202 0.1579 0.5432
N12 0.9568 0.3421 0.5798

The 8 most intense peaks (5° ≤ 2θ ≤ 70°), by angle:
18.90 deg, rel. 393; 19.58 deg, rel. 860; 22.45 deg, rel. 568; 32.39 deg, rel. 150; 33.80 deg, rel. 492; 37.77 deg, rel. 1000; 51.04 deg, rel. 417; 57.77 deg, rel. 293

***

Structure and computed powder diffractogram of SrCaTiP2O8 (a GGA-PBE-relaxed structure; Cu Ka).
Lines closer than 0.1° are merged.

Atomic structure:
a = 5.7684 Å, b = 6.8500 Å, c = 9.6841 Å
α = 107.91°, β = 105.27°, γ = 97.08°
Atoms (fractional coordinates):
Sr1 0.2134 0.2415 0.4399
Sr2 0.7866 0.7585 0.5601
Ca1 0.3398 0.2642 0.8382
Ca2 0.6602 0.7358 0.1618
Ti1 0.0585 0.8244 0.9484
Ti2 0.9415 0.1756 0.0516
P1 0.1649 0.6861 0.2756
P2 0.4390 0.7628 0.7943
P3 0.5610 0.2372 0.2057
P4 0.8351 0.3139 0.7244
O1 0.0295 0.8149 0.3797
O2 0.0416 0.6988 0.1143
O3 0.1127 0.4527 0.2600
O4 0.2477 0.9085 0.8025
O5 0.2935 0.0942 0.1451
O6 0.3868 0.6177 0.6299
O7 0.4153 0.6487 0.9094
O8 0.4445 0.7837 0.3341
O9 0.5555 0.2163 0.6659
O10 0.5847 0.3513 0.0906
O11 0.6132 0.3823 0.3701
O12 0.7065 0.9058 0.8549
O13 0.7523 0.0915 0.1975
O14 0.8873 0.5473 0.7400
O15 0.9584 0.3012 0.8857
O16 0.9705 0.1851 0.6203

The 8 most intense peaks (5° ≤ 2θ ≤ 70°), by angle:
21.69 deg, rel. 207; 28.10 deg, rel. 1000; 29.75 deg, rel. 670; 30.09 deg, rel. 396; 31.25 deg, rel. 481; 32.76 deg, rel. 182; 32.96 deg, rel. 287; 48.93 deg, rel. 187

***

Structure and computed powder diffractogram of Ta3Br7 (a GGA-PBE-relaxed structure; Cu Ka).
Lines closer than 0.1° are merged.

Atomic structure:
a = 10.3234 Å, b = 10.3234 Å, c = 11.9413 Å
α = 90.00°, β = 90.00°, γ = 92.97°
Atoms (fractional coordinates):
Ta1 0.0561 0.1547 0.8913
Ta2 0.1110 0.8890 0.9207
Ta3 0.1547 0.0561 0.1087
Ta4 0.3453 0.4439 0.6087
Ta5 0.3890 0.6110 0.4207
Ta6 0.4439 0.3453 0.3913
Ta7 0.5561 0.6547 0.6087
Ta8 0.6110 0.3890 0.5793
Ta9 0.6547 0.5561 0.3913
Ta10 0.8453 0.9439 0.8913
Ta11 0.8890 0.1110 0.0793
Ta12 0.9439 0.8453 0.1087
Br1 0.0316 0.2156 0.2385
Br2 0.0857 0.6644 0.0207
Br3 0.1209 0.8791 0.2652
Br4 0.1270 0.3730 0.7500
Br5 0.1644 0.5857 0.5207
Br6 0.2156 0.0316 0.7615
Br7 0.2442 0.2442 0.5000
Br8 0.2558 0.2558 0.0000
Br9 0.2844 0.4684 0.2615
Br10 0.3356 0.9143 0.0207
Br11 0.3730 0.1270 0.2500
Br12 0.3791 0.6209 0.7652
Br13 0.4143 0.8356 0.5207
Br14 0.4684 0.2844 0.7385
Br15 0.5316 0.7156 0.2615
Br16 0.5857 0.1644 0.4793
Br17 0.6209 0.3791 0.2348
Br18 0.6270 0.8730 0.7500
Br19 0.6644 0.0857 0.9793
Br20 0.7156 0.5316 0.7385
Br21 0.7442 0.7442 0.0000
Br22 0.7558 0.7558 0.5000
Br23 0.7844 0.9684 0.2385
Br24 0.8356 0.4143 0.4793
Br25 0.8730 0.6270 0.2500
Br26 0.8791 0.1209 0.7348
Br27 0.9143 0.3356 0.9793
Br28 0.9684 0.7844 0.7615

The 8 most intense peaks (5° ≤ 2θ ≤ 70°), by angle:
11.34 deg, rel. 1000; 11.82 deg, rel. 200; 28.14 deg, rel. 71; 34.08 deg, rel. 69; 35.94 deg, rel. 247; 39.46 deg, rel. 73; 41.74 deg, rel. 62; 42.77 deg, rel. 67

***

Structure and computed powder diffractogram of CaLa2Cu2O7 (a GGA-PBE-relaxed structure; Cu Ka).
Lines closer than 0.1° are merged.

Atomic structure:
a = 10.5622 Å, b = 10.5622 Å, c = 10.5622 Å
α = 159.09°, β = 159.09°, γ = 29.74°
Atoms (fractional coordinates):
Ca1 0.0000 0.0000 0.0000
La1 0.1790 0.1790 0.0000
La2 0.8210 0.8210 0.0000
Cu1 0.4060 0.4060 0.0000
Cu2 0.5940 0.5940 0.0000
O1 0.0997 0.5997 0.5000
O2 0.2958 0.2958 0.0000
O3 0.4003 0.9003 0.5000
O4 0.5000 0.5000 0.0000
O5 0.5997 0.0997 0.5000
O6 0.7042 0.7042 0.0000
O7 0.9003 0.4003 0.5000

The 8 most intense peaks (5° ≤ 2θ ≤ 70°), by angle:
17.37 deg, rel. 182; 26.69 deg, rel. 465; 32.02 deg, rel. 1000; 33.05 deg, rel. 744; 42.64 deg, rel. 203; 46.52 deg, rel. 229; 47.43 deg, rel. 433; 58.38 deg, rel. 361

***

Structure and computed powder diffractogram of Dy2CI3 (a GGA-PBE-relaxed structure; Cu Ka).
Lines closer than 0.1° are merged.

Atomic structure:
a = 8.5106 Å, b = 13.8164 Å, c = 16.8397 Å
α = 90.00°, β = 120.23°, γ = 90.00°
Atoms (fractional coordinates):
Dy1 0.1230 0.1027 0.1233
Dy2 0.1230 0.3973 0.6233
Dy3 0.2225 0.0912 0.9314
Dy4 0.2225 0.4088 0.4314
Dy5 0.3420 0.6319 0.3418
Dy6 0.3420 0.8681 0.8418
Dy7 0.3582 0.5974 0.5730
Dy8 0.3582 0.9026 0.0730
Dy9 0.6418 0.0974 0.9270
Dy10 0.6418 0.4026 0.4270
Dy11 0.6580 0.1319 0.1582
Dy12 0.6580 0.3681 0.6582
Dy13 0.7775 0.5912 0.5686
Dy14 0.7775 0.9088 0.0686
Dy15 0.8770 0.6027 0.3767
Dy16 0.8770 0.8973 0.8767
C1 0.0894 0.5168 0.5123
C2 0.0894 0.9832 0.0123
C3 0.4618 0.5319 0.4618
C4 0.4618 0.9681 0.9618
C5 0.5382 0.0319 0.0382
C6 0.5382 0.4681 0.5382
C7 0.9106 0.0168 0.9877
C8 0.9106 0.4832 0.4877
I1 0.0135 0.0137 0.2572
I2 0.0135 0.4863 0.7572
I3 0.1638 0.7258 0.6661
I4 0.1638 0.7742 0.1661
I5 0.1721 0.7378 0.9261
I6 0.1721 0.7622 0.4261
I7 0.3153 0.2395 0.5721
I8 0.3153 0.2605 0.0721
I9 0.3195 0.2409 0.8227
I10 0.3195 0.2591 0.3227
I11 0.4945 0.5154 0.2406
I12 0.4945 0.9846 0.7406
I13 0.5055 0.0154 0.2594
I14 0.5055 0.4846 0.7594
I15 0.6805 0.7409 0.6773
I16 0.6805 0.7591 0.1773
I17 0.6847 0.7395 0.9279
I18 0.6847 0.7605 0.4279
I19 0.8279 0.2378 0.5739
I20 0.8279 0.2622 0.0739
I21 0.8362 0.2258 0.8339
I22 0.8362 0.2742 0.3339
I23 0.9865 0.5137 0.2428
I24 0.9865 0.9863 0.7428

The 8 most intense peaks (5° ≤ 2θ ≤ 70°), by angle:
8.83 deg, rel. 1000; 25.33 deg, rel. 121; 27.52 deg, rel. 115; 30.81 deg, rel. 164; 31.15 deg, rel. 507; 31.34 deg, rel. 244; 42.49 deg, rel. 119; 42.93 deg, rel. 177

***

Structure and computed powder diffractogram of Eu2B5Os3 (a GGA-PBE-relaxed structure; Cu Ka).
Lines closer than 0.1° are merged.

Atomic structure:
a = 5.7452 Å, b = 5.7452 Å, c = 8.0762 Å
α = 122.44°, β = 122.44°, γ = 41.53°
Atoms (fractional coordinates):
Eu1 0.1634 0.1634 0.2645
Eu2 0.8366 0.8366 0.7355
B1 0.1476 0.1437 0.8124
B2 0.4941 0.5059 0.0000
B3 0.6955 0.2484 0.3792
B4 0.7516 0.3045 0.6208
B5 0.8563 0.8524 0.1876
Os1 0.2175 0.7825 0.5000
Os2 0.3525 0.3808 0.0955
Os3 0.6192 0.6475 0.9045

The 8 most intense peaks (5° ≤ 2θ ≤ 70°), by angle:
30.41 deg, rel. 1000; 33.42 deg, rel. 562; 33.56 deg, rel. 409; 34.70 deg, rel. 669; 34.82 deg, rel. 356; 40.76 deg, rel. 262; 42.59 deg, rel. 228; 50.43 deg, rel. 190